(1)
Structure and computed X-ray powder pattern of Pm4HgPd2 (a cell relaxed with PBE; Cu Kα, 1.54184 Å).
Kinematic intensities with the Lorentz-polarization factor, no thermal factor.

The 12 most intense peaks (10 to 80 degrees two-theta), by angle:
| 2θ/deg | Rel. int. | h k l |
| --- | --- | --- |
| 28.08 | 63 | 0 4 1 |
| 28.43 | 28 | 2 2 -2 |
| 31.01 | 70 | 1 3 1 |
| 31.29 | 100 | 1 3 -2 |
| 31.98 | 77 | 1 5 -1 |
| 31.99 | 74 | 3 1 -1 |
| 32.26 | 67 | 3 1 -2 |
| 33.71 | 42 | 0 2 2 |
| 34.72 | 99 | 2 4 0 |
| 39.93 | 41 | 2 2 -3 |
| 41.36 | 34 | 1 1 2 |
| 43.39 | 36 | 1 7 -1 |

Atomic structure:
```
data_Pm4HgPd2
_cell_length_a 8.780
_cell_length_b 15.317
_cell_length_c 7.110
_cell_angle_alpha 90.00
_cell_angle_beta 127.10
_cell_angle_gamma 90.00
_space_group_name_H-M_alt 'C 1 c 1'
_space_group_IT_number 9
loop_
_space_group_symop_operation_xyz
'x,y,z'
'x,-y,z+1/2'
'x+1/2,y+1/2,z'
'x+1/2,-y+1/2,z+1/2'
loop_
_atom_site_label
_atom_site_fract_x
_atom_site_fract_y
_atom_site_fract_z
Pm1 0.000 0.023 0.000
Pm2 0.233 0.322 0.653
Pm3 0.431 0.245 0.332
Pm4 0.467 0.038 0.632
Hg1 0.253 0.133 0.841
Pd1 0.130 0.165 0.339
Pd2 0.229 0.409 0.028
```

---

(2)
Structure and computed X-ray powder pattern of Na3Cd9In2 (a cell relaxed with PBE; Cu Kα, 1.54184 Å).
Kinematic intensities with the Lorentz-polarization factor, no thermal factor.

The 12 most intense peaks (10 to 80 degrees two-theta), by angle:
| 2θ/deg | Rel. int. | h k l |
| --- | --- | --- |
| 15.55 | 35 | 0 2 0 |
| 20.24 | 36 | 1 1 0 |
| 21.70 | 38 | 0 1 3 |
| 31.88 | 100 | 1 2 3 |
| 33.10 | 46 | 1 3 2 |
| 34.05 | 37 | 1 1 4 |
| 37.42 | 84 | 1 4 1 |
| 37.85 | 61 | 2 0 0 |
| 40.14 | 21 | 0 5 1 |
| 40.94 | 69 | 1 3 4 |
| 41.13 | 27 | 0 0 6 |
| 62.28 | 33 | 1 4 7 |

Atomic structure:
```
data_Na3Cd9In2
_cell_length_a 4.754
_cell_length_b 11.400
_cell_length_c 13.168
_cell_angle_alpha 90.00
_cell_angle_beta 90.00
_cell_angle_gamma 90.00
_space_group_name_H-M_alt 'I m m m'
_space_group_IT_number 71
_space_group_name_Hall '-I 2 2'
loop_
_atom_site_label
_atom_site_fract_x
_atom_site_fract_y
_atom_site_fract_z
Na1 0.000 0.000 0.000
Na2 0.000 0.000 0.283
Cd1 0.000 0.280 0.153
Cd2 0.000 0.375 0.367
Cd3 0.000 0.500 0.000
In1 0.000 0.160 0.500
```

---

(3)
Structure and computed X-ray powder pattern of Tm2Zr3Sc3 (a cell relaxed with PBE; Cu Kα, 1.54184 Å).
Kinematic intensities with the Lorentz-polarization factor, no thermal factor.

The 12 most intense peaks (10 to 80 degrees two-theta), by angle:
| 2θ/deg | Rel. int. | h k l |
| --- | --- | --- |
| 21.16 | 39 | 0 3 1 |
| 26.47 | 66 | 1 0 0 |
| 32.93 | 68 | 0 4 2 |
| 33.99 | 41 | 0 1 3 |
| 34.13 | 100 | 1 3 1 |
| 34.75 | 53 | 1 0 2 |
| 36.10 | 37 | 1 4 0 |
| 36.49 | 31 | 0 6 0 |
| 36.89 | 38 | 1 2 2 |
| 38.23 | 42 | 0 3 3 |
| 42.74 | 41 | 1 4 2 |
| 43.59 | 34 | 1 1 3 |

Atomic structure:
```
data_Tm2Zr3Sc3
_cell_length_a 3.367
_cell_length_b 14.773
_cell_length_c 8.042
_cell_angle_alpha 90.00
_cell_angle_beta 90.00
_cell_angle_gamma 90.00
_space_group_name_H-M_alt 'A m m 2'
_space_group_IT_number 38
loop_
_space_group_symop_operation_xyz
'x,y,z'
'-x,-y,z'
'-x,y,z'
'x,-y,z'
'x,y+1/2,z+1/2'
'-x,-y+1/2,z+1/2'
'-x,y+1/2,z+1/2'
'x,-y+1/2,z+1/2'
loop_
_atom_site_label
_atom_site_fract_x
_atom_site_fract_y
_atom_site_fract_z
Tm1 0.000 0.160 0.000
Zr1 0.000 0.000 0.283
Zr2 0.000 0.126 0.608
Sc1 0.500 0.000 0.873
Sc2 0.500 0.199 0.309
```

---

(4)
Structure and computed X-ray powder pattern of Er8CdRh2 (a cell relaxed with PBE; Cu Kα, 1.54184 Å).
Kinematic intensities with the Lorentz-polarization factor, no thermal factor.

The 12 most intense peaks (10 to 80 degrees two-theta), by angle:
| 2θ/deg | Rel. int. | h k l |
| --- | --- | --- |
| 30.09 | 22 | 1 3 1 |
| 30.40 | 70 | 2 0 1 |
| 32.08 | 100 | 0 4 1 |
| 33.41 | 74 | 3 1 -1 |
| 33.83 | 48 | 1 1 -2 |
| 34.03 | 20 | 0 0 2 |
| 34.77 | 75 | 2 4 0 |
| 36.75 | 24 | 0 2 2 |
| 38.38 | 57 | 3 3 0 |
| 38.62 | 30 | 1 5 -1 |
| 53.25 | 32 | 2 4 2 |
| 64.97 | 28 | 2 8 1 |

Atomic structure:
```
data_Er8CdRh2
_cell_length_a 8.569
_cell_length_b 13.157
_cell_length_c 5.427
_cell_angle_alpha 90.00
_cell_angle_beta 103.85
_cell_angle_gamma 90.00
_space_group_name_H-M_alt 'C 1 2/m 1'
_space_group_IT_number 12
loop_
_space_group_symop_operation_xyz
'x,y,z'
'-x,-y,-z'
'-x,y,-z'
'x,-y,z'
'x+1/2,y+1/2,z'
'-x+1/2,-y+1/2,-z'
'-x+1/2,y+1/2,-z'
'x+1/2,-y+1/2,z'
loop_
_atom_site_label
_atom_site_fract_x
_atom_site_fract_y
_atom_site_fract_z
Er1 0.000 0.246 0.000
Er2 0.114 0.500 0.805
Er3 0.201 0.129 0.579
Cd1 0.000 0.000 0.000
Rh1 0.000 0.306 0.500
```

---

(5)
Structure and computed X-ray powder pattern of LiPd5Au2 (a cell relaxed with PBE; Cu Kα, 1.54184 Å).
Kinematic intensities with the Lorentz-polarization factor, no thermal factor.

The 12 most intense peaks (10 to 80 degrees two-theta), by angle:
| 2θ/deg | Rel. int. | h k l |
| --- | --- | --- |
| 19.34 | 7 | 1 1 0 |
| 22.38 | 9 | 2 0 -1 |
| 22.57 | 9 | 0 2 0 |
| 31.69 | 8 | 2 0 0 |
| 31.82 | 8 | 0 2 1 |
| 39.25 | 100 | 2 2 0 |
| 45.17 | 17 | 0 0 2 |
| 45.68 | 16 | 4 0 -2 |
| 46.07 | 16 | 0 4 0 |
| 66.50 | 10 | 0 4 2 |
| 66.90 | 10 | 4 4 -2 |
| 79.32 | 7 | 2 2 2 |

Atomic structure:
```
data_LiPd5Au2
_cell_length_a 7.944
_cell_length_b 7.881
_cell_length_c 5.641
_cell_angle_alpha 90.00
_cell_angle_beta 134.63
_cell_angle_gamma 90.00
_space_group_name_H-M_alt 'C 1 2/m 1'
_space_group_IT_number 12
loop_
_space_group_symop_operation_xyz
'x,y,z'
'-x,-y,-z'
'-x,y,-z'
'x,-y,z'
'x+1/2,y+1/2,z'
'-x+1/2,-y+1/2,-z'
'-x+1/2,y+1/2,-z'
'x+1/2,-y+1/2,z'
loop_
_atom_site_label
_atom_site_fract_x
_atom_site_fract_y
_atom_site_fract_z
Li1 0.000 0.000 0.000
Pd1 0.000 0.000 0.500
Pd2 0.000 0.500 0.000
Pd3 0.000 0.500 0.500
Pd4 0.250 0.250 0.500
Au1 0.250 0.250 0.000
```

---

(6)
Structure and computed X-ray powder pattern of Tb3Nd2Y6Tm (a cell relaxed with PBE; Cu Kα, 1.54184 Å).
Kinematic intensities with the Lorentz-polarization factor, no thermal factor.

The 12 most intense peaks (10 to 80 degrees two-theta), by angle:
| 2θ/deg | Rel. int. | h k l |
| --- | --- | --- |
| 15.18 | 8 | 0 0 2 |
| 29.26 | 6 | 2 0 0 |
| 30.60 | 100 | 1 3 1 |
| 35.48 | 50 | 2 0 2 |
| 38.80 | 3 | 1 3 3 |
| 46.67 | 2 | 2 0 4 |
| 51.06 | 35 | 1 3 5 |
| 53.56 | 2 | 3 3 1 |
| 60.70 | 35 | 4 0 0 |
| 60.77 | 7 | 1 3 -7 |
| 63.72 | 12 | 2 6 2 |
| 75.10 | 6 | 4 0 4 |

Atomic structure:
```
data_Tb3Nd2Y6Tm
_cell_length_a 6.202
_cell_length_b 10.734
_cell_length_c 11.852
_cell_angle_alpha 90.00
_cell_angle_beta 99.99
_cell_angle_gamma 90.00
_space_group_name_H-M_alt 'C 1 2/m 1'
_space_group_IT_number 12
loop_
_space_group_symop_operation_xyz
'x,y,z'
'-x,-y,-z'
'-x,y,-z'
'x,-y,z'
'x+1/2,y+1/2,z'
'-x+1/2,-y+1/2,-z'
'-x+1/2,y+1/2,-z'
'x+1/2,-y+1/2,z'
loop_
_atom_site_label
_atom_site_fract_x
_atom_site_fract_y
_atom_site_fract_z
Tb1 0.000 0.000 0.000
Tb2 0.000 0.334 0.000
Nd1 0.000 0.167 0.500
Y1 0.248 0.500 0.248
Y2 0.250 0.166 0.249
Tm1 0.000 0.500 0.500
```

---

(7)
Structure and computed X-ray powder pattern of LaNdBr4 (a cell relaxed with PBE; Cu Kα, 1.54184 Å).
Kinematic intensities with the Lorentz-polarization factor, no thermal factor.

The 12 most intense peaks (10 to 80 degrees two-theta), by angle:
| 2θ/deg | Rel. int. | h k l |
| --- | --- | --- |
| 16.77 | 74 | 1 0 1 |
| 27.45 | 42 | 1 0 3 |
| 30.14 | 100 | 2 0 0 |
| 30.68 | 46 | 0 0 4 |
| 34.69 | 25 | 2 1 1 |
| 41.21 | 28 | 2 1 3 |
| 43.15 | 37 | 2 2 0 |
| 43.55 | 69 | 2 0 4 |
| 53.87 | 36 | 2 2 4 |
| 71.10 | 17 | 4 2 0 |
| 71.39 | 16 | 4 0 4 |
| 79.40 | 23 | 4 2 4 |

Atomic structure:
```
data_LaNdBr4
_cell_length_a 5.930
_cell_length_b 5.930
_cell_length_c 11.656
_cell_angle_alpha 90.00
_cell_angle_beta 90.00
_cell_angle_gamma 90.00
_space_group_name_H-M_alt 'I -4 m 2'
_space_group_IT_number 119
_space_group_name_Hall 'I -4 -2'
loop_
_atom_site_label
_atom_site_fract_x
_atom_site_fract_y
_atom_site_fract_z
La1 0.000 0.000 0.000
Nd1 0.000 0.500 0.250
Br1 0.000 0.000 0.263
Br2 0.000 0.500 0.509
```

---

(8)
Structure and computed X-ray powder pattern of Na3Nd2PuS6 (a cell relaxed with PBE; Cu Kα, 1.54184 Å).
Kinematic intensities with the Lorentz-polarization factor, no thermal factor.

The 12 most intense peaks (10 to 80 degrees two-theta), by angle:
| 2θ/deg | Rel. int. | h k l |
| --- | --- | --- |
| 13.27 | 85 | 0 0 1 |
| 25.40 | 49 | 1 3 0 |
| 26.57 | 36 | 2 0 0 |
| 30.82 | 100 | 1 3 1 |
| 33.69 | 21 | 2 0 1 |
| 40.46 | 19 | 1 3 2 |
| 44.04 | 37 | 0 6 0 |
| 44.25 | 35 | 2 0 2 |
| 46.20 | 23 | 3 3 0 |
| 52.24 | 19 | 3 3 1 |
| 54.72 | 19 | 4 0 0 |
| 72.76 | 16 | 4 6 0 |

Atomic structure:
```
data_Na3Nd2PuS6
_cell_length_a 7.123
_cell_length_b 12.336
_cell_length_c 7.081
_cell_angle_alpha 90.00
_cell_angle_beta 109.59
_cell_angle_gamma 90.00
_space_group_name_H-M_alt 'C 1 2/m 1'
_space_group_IT_number 12
loop_
_space_group_symop_operation_xyz
'x,y,z'
'-x,-y,-z'
'-x,y,-z'
'x,-y,z'
'x+1/2,y+1/2,z'
'-x+1/2,-y+1/2,-z'
'-x+1/2,y+1/2,-z'
'x+1/2,-y+1/2,z'
loop_
_atom_site_label
_atom_site_fract_x
_atom_site_fract_y
_atom_site_fract_z
Na1 0.000 0.000 0.000
Na2 0.000 0.333 0.000
Nd1 0.000 0.167 0.500
Pu1 0.000 0.500 0.500
S1 0.241 0.336 0.732
S2 0.249 0.000 0.731
```

---

(9)
Structure and computed X-ray powder pattern of ErSiPd (a cell relaxed with PBE; Cu Kα, 1.54184 Å).
Kinematic intensities with the Lorentz-polarization factor, no thermal factor.

The 12 most intense peaks (10 to 80 degrees two-theta), by angle:
| 2θ/deg | Rel. int. | h k l |
| --- | --- | --- |
| 24.12 | 26 | 1 1 0 |
| 34.20 | 61 | 3 1 -1 |
| 34.93 | 42 | 4 0 -2 |
| 35.54 | 100 | 1 1 -2 |
| 37.50 | 25 | 2 0 1 |
| 40.82 | 21 | 4 0 -3 |
| 41.34 | 37 | 3 1 0 |
| 42.98 | 30 | 0 2 0 |
| 56.53 | 21 | 4 2 -2 |
| 58.34 | 14 | 2 2 1 |
| 58.93 | 14 | 5 1 -4 |
| 67.35 | 14 | 7 1 -3 |

Atomic structure:
```
data_ErSiPd
_cell_length_a 10.320
_cell_length_b 4.209
_cell_length_c 6.927
_cell_angle_alpha 90.00
_cell_angle_beta 132.04
_cell_angle_gamma 90.00
_space_group_name_H-M_alt 'C 1 2/m 1'
_space_group_IT_number 12
loop_
_space_group_symop_operation_xyz
'x,y,z'
'-x,-y,-z'
'-x,y,-z'
'x,-y,z'
'x+1/2,y+1/2,z'
'-x+1/2,-y+1/2,-z'
'-x+1/2,y+1/2,-z'
'x+1/2,-y+1/2,z'
loop_
_atom_site_label
_atom_site_fract_x
_atom_site_fract_y
_atom_site_fract_z
Er1 0.052 0.000 0.292
Si1 0.151 0.500 0.702
Pd1 0.181 0.500 0.115
```

---

(10)
Structure and computed X-ray powder pattern of Tl2Cu2AsS4 (a cell relaxed with PBE; Cu Kα, 1.54184 Å).
Kinematic intensities with the Lorentz-polarization factor, no thermal factor.

The 12 most intense peaks (10 to 80 degrees two-theta), by angle:
| 2θ/deg | Rel. int. | h k l |
| --- | --- | --- |
| 24.48 | 49 | 1 1 0 |
| 25.07 | 68 | 0 0 2 |
| 25.20 | 58 | 4 0 -1 |
| 26.50 | 59 | 1 1 -1 |
| 29.82 | 35 | 4 0 -2 |
| 30.79 | 65 | 3 1 -1 |
| 33.06 | 52 | 4 0 1 |
| 33.64 | 100 | 1 1 -2 |
| 36.00 | 86 | 3 1 1 |
| 42.11 | 33 | 5 1 -2 |
| 48.21 | 45 | 0 2 0 |
| 55.22 | 48 | 3 1 3 |

Atomic structure:
```
data_Tl2Cu2AsS4
_cell_length_a 14.288
_cell_length_b 3.776
_cell_length_c 7.542
_cell_angle_alpha 90.00
_cell_angle_beta 109.61
_cell_angle_gamma 90.00
_space_group_name_H-M_alt 'C 1 2/m 1'
_space_group_IT_number 12
loop_
_space_group_symop_operation_xyz
'x,y,z'
'-x,-y,-z'
'-x,y,-z'
'x,-y,z'
'x+1/2,y+1/2,z'
'-x+1/2,-y+1/2,-z'
'-x+1/2,y+1/2,-z'
'x+1/2,-y+1/2,z'
loop_
_atom_site_label
_atom_site_fract_x
_atom_site_fract_y
_atom_site_fract_z
Tl1 0.132 0.000 0.053
Cu1 0.189 0.500 0.492
As1 0.000 0.000 0.500
S1 0.024 0.500 0.283
S2 0.192 0.000 0.671
```

---

Repeat the second record exactly.
Structure and computed X-ray powder pattern of Na3Cd9In2 (a cell relaxed with PBE; Cu Kα, 1.54184 Å).
Kinematic intensities with the Lorentz-polarization factor, no thermal factor.

The 12 most intense peaks (10 to 80 degrees two-theta), by angle:
| 2θ/deg | Rel. int. | h k l |
| --- | --- | --- |
| 15.55 | 35 | 0 2 0 |
| 20.24 | 36 | 1 1 0 |
| 21.70 | 38 | 0 1 3 |
| 31.88 | 100 | 1 2 3 |
| 33.10 | 46 | 1 3 2 |
| 34.05 | 37 | 1 1 4 |
| 37.42 | 84 | 1 4 1 |
| 37.85 | 61 | 2 0 0 |
| 40.14 | 21 | 0 5 1 |
| 40.94 | 69 | 1 3 4 |
| 41.13 | 27 | 0 0 6 |
| 62.28 | 33 | 1 4 7 |

Atomic structure:
```
data_Na3Cd9In2
_cell_length_a 4.754
_cell_length_b 11.400
_cell_length_c 13.168
_cell_angle_alpha 90.00
_cell_angle_beta 90.00
_cell_angle_gamma 90.00
_space_group_name_H-M_alt 'I m m m'
_space_group_IT_number 71
_space_group_name_Hall '-I 2 2'
loop_
_atom_site_label
_atom_site_fract_x
_atom_site_fract_y
_atom_site_fract_z
Na1 0.000 0.000 0.000
Na2 0.000 0.000 0.283
Cd1 0.000 0.280 0.153
Cd2 0.000 0.375 0.367
Cd3 0.000 0.500 0.000
In1 0.000 0.160 0.500
```

---

Q: What is the formula in the sixth record?
A: Tb3Nd2Y6Tm